[1]
Calculated XRD peak list
Compound: Rb2SrCrF6
Radiation: CuKα
Structure: the PBE+U geometry in Alexandria
Intensities are scaled so that the largest is 100.

Atomic structure:
```
data_Rb2SrCrF6
_chemical_formula_sum 'Rb4 Sr2 Cr2 F12'
_symmetry_space_group_name_H-M 'I 4/m m m'
_symmetry_Int_Tables_number 139
_symmetry_space_group_name_Hall '-I 4 2'
_cell_length_a 6.2698
_cell_length_b 6.2698
_cell_length_c 9.5291
_cell_angle_alpha 90.00
_cell_angle_beta 90.00
_cell_angle_gamma 90.00
loop_
_atom_site_label
_atom_site_fract_x
_atom_site_fract_y
_atom_site_fract_z
Rb1 0.0000 0.5000 0.2500
Sr1 0.0000 0.0000 0.0000
Cr1 0.0000 0.0000 0.5000
F1 0.0000 0.0000 0.2497
F2 0.2302 0.2302 0.5000
```

Main lines, most intense first (2θ = 5–70°):
- 2θ 27.5, rel. 100.0, hkl 1 1 2
- 2θ 28.5, rel. 46.1, hkl 2 0 0
- 2θ 40.7, rel. 40.4, hkl 2 2 0
- 2θ 49.8, rel. 36.9, hkl 3 1 2
- 2θ 56.7, rel. 28.0, hkl 2 2 4
- 2θ 37.8, rel. 25.9, hkl 0 0 4
- 2θ 48.0, rel. 21.5, hkl 2 0 4
- 2θ 34.2, rel. 15.9, hkl 2 0 2

=====

[2]
Calculated XRD peak list
Compound: CrRhF6
Radiation: CuKα
Structure: the PBE+U geometry in Alexandria
Intensities are scaled so that the largest is 100.

Atomic structure:
```
data_CrRhF6
_chemical_formula_sum 'Cr2 Rh2 F12'
_symmetry_space_group_name_H-M 'C 1 2/m 1'
_symmetry_Int_Tables_number 12
_cell_length_a 4.9960
_cell_length_b 9.0651
_cell_length_c 4.9978
_cell_angle_alpha 90.00
_cell_angle_beta 104.08
_cell_angle_gamma 90.00
loop_
_symmetry_equiv_pos_as_xyz
'x,y,z'
'-x,-y,-z'
'-x,y,-z'
'x,-y,z'
'x+1/2,y+1/2,z'
'-x+1/2,-y+1/2,-z'
'-x+1/2,y+1/2,-z'
'x+1/2,-y+1/2,z'
loop_
_atom_site_label
_atom_site_fract_x
_atom_site_fract_y
_atom_site_fract_z
Cr1 0.0000 0.0000 0.0000
Rh1 0.0000 0.5000 0.5000
F1 0.2415 0.0000 0.7499
F2 0.2465 0.1402 0.2424
```

Main lines, most intense first (2θ = 5–70°):
- 2θ 19.6, rel. 100.0, hkl 0 2 0
- 2θ 24.6, rel. 96.5, hkl 1 1 -1
- 2θ 41.9, rel. 53.8, hkl 1 3 1
- 2θ 30.7, rel. 41.0, hkl 1 1 1
- 2θ 64.0, rel. 32.3, hkl 3 3 -1
- 2θ 42.3, rel. 27.7, hkl 2 2 0
- 2θ 46.1, rel. 21.2, hkl 2 0 -2
- 2θ 50.5, rel. 14.4, hkl 2 2 -2

=====

[3]
Calculated XRD peak list
Compound: ZnCrSF5
Radiation: CuKα
Structure: the PBE+U geometry in Alexandria
Intensities are scaled so that the largest is 100.

Atomic structure:
```
data_ZnCrSF5
_chemical_formula_sum 'Zn2 Cr2 S2 F10'
_symmetry_space_group_name_H-M 'P 1'
_symmetry_Int_Tables_number 1
_cell_length_a 6.0642
_cell_length_b 6.4659
_cell_length_c 7.3439
_cell_angle_alpha 71.08
_cell_angle_beta 78.48
_cell_angle_gamma 77.21
loop_
_symmetry_equiv_pos_as_xyz
'x,y,z'
loop_
_atom_site_label
_atom_site_fract_x
_atom_site_fract_y
_atom_site_fract_z
Zn1 0.0000 0.0000 0.0000
Zn2 0.3237 0.3333 0.4486
Cr1 0.7716 0.4782 0.0857
Cr2 0.7768 0.4587 0.5920
S1 0.2354 0.0282 0.3738
S2 0.2995 0.1063 0.0955
F1 0.0723 0.5595 0.5210
F2 0.0874 0.4128 0.9713
F3 0.4536 0.5321 0.1995
F4 0.5184 0.2988 0.6417
F5 0.6102 0.7276 0.4657
F6 0.6789 0.5422 0.8330
F7 0.7498 0.1709 0.1389
F8 0.8160 0.7821 0.0298
F9 0.8684 0.3858 0.3437
F10 0.9744 0.1682 0.7240
```

Main lines, most intense first (2θ = 5–70°):
- 2θ 14.7, rel. 100.0, hkl 0 1 0
- 2θ 22.9, rel. 49.8, hkl 1 -1 0
- 2θ 25.9, rel. 46.5, hkl 0 0 2
- 2θ 21.2, rel. 44.1, hkl 1 0 -1
- 2θ 19.3, rel. 43.1, hkl 1 1 0
- 2θ 28.2, rel. 35.4, hkl 1 0 2
- 2θ 38.6, rel. 34.1, hkl -2 1 1
- 2θ 22.3, rel. 30.7, hkl 0 1 -1

=====

- Number 2 is which compound?
  CrRhF6